(1)
Computed PXRD pattern of TbSm8Y5 for copper Kα, from a crystal structure in Alexandria, relaxed with GGA-PBE.
Kinematic intensities with the Lorentz-polarization factor, no thermal factor.

Top 8 peaks for 15° ≤ 2θ ≤ 90°, in order of rising 2θ:
2θ 22.31, intensity 329, (2 1 1); 2θ 27.65, intensity 823, (1 0 3); 2θ 29.04, intensity 770, (3 0 1); 2θ 29.21, intensity 838, (3 1 0); 2θ 33.39, intensity 1000, (1 2 3); 2θ 34.13, intensity 695, (3 1 2); 2θ 34.57, intensity 670, (2 3 1); 2θ 62.15, intensity 342, (3 1 6)

Crystal structure
Cell lengths 9.6684, 9.6684, 10.2688 Å; angles 90.00, 90.00, 90.00 degrees
Space group I-4 (No. 82)
Unique sites:
Tb 0.0000 0.0000 0.0000 [2 per cell]
Sm 0.0683 0.8277 0.3469 [8 per cell]
Sm 0.0910 0.6775 0.0026 [8 per cell]
Y 0.0000 0.5000 0.2500 [2 per cell]
Y 0.1109 0.7051 0.6753 [8 per cell]


(2)
Computed PXRD pattern of K2MoAs for copper Kα, from a crystal structure in Alexandria, relaxed with GGA-PBE.
Kinematic intensities with the Lorentz-polarization factor, no thermal factor.

Top 8 peaks for 15° ≤ 2θ ≤ 90°, in order of rising 2θ:
2θ 17.37, intensity 405, (4 0 0); 2θ 26.19, intensity 787, (6 0 0); 2θ 35.16, intensity 270, (8 0 0); 2θ 37.12, intensity 850, (3 1 -1); 2θ 40.25, intensity 1000, (3 1 1); 2θ 45.72, intensity 188, (2 0 -2); 2θ 58.31, intensity 240, (9 1 1); 2θ 58.51, intensity 173, (11 1 -1)

Crystal structure
Cell lengths 20.7831, 3.2050, 3.9692 Å; angles 90.00, 100.74, 90.00 degrees
Space group C2/m (No. 12)
Unique sites:
K 0.1481 0.0000 0.1428 [4 per cell]
Mo 0.0000 0.0000 0.5000 [2 per cell]
As 0.0000 0.5000 0.0000 [2 per cell]